Simulated powder diffractogram
Compound: Nd3Ge4Ir
Radiation: Cu Kα, 1.54184 Å
Structure: a structure optimized by DFT (PBE)
Peak positions follow from Bragg's law for the DFT cell and can differ from measured ones.

Structure:
```
data_Nd3Ge4Ir
_chemical_formula_sum 'Nd3 Ge4 Ir1'
_cell_length_a 8.2528
_cell_length_b 8.2528
_cell_length_c 8.2528
_cell_angle_alpha 148.21
_cell_angle_beta 137.80
_cell_angle_gamma 53.79
_symmetry_space_group_name_H-M 'P 1'
_symmetry_Int_Tables_number 1
loop_
_symmetry_equiv_pos_as_xyz
'x,y,z'
loop_
_atom_site_label
_atom_site_fract_x
_atom_site_fract_y
_atom_site_fract_z
_atom_site_occupancy
Nd1 0.0000 0.0000 0.0000 1
Nd2 0.3099 0.8099 0.5000 1
Nd3 0.6901 0.1901 0.5000 1
Ge1 0.0914 0.3782 0.7133 1
Ge2 0.3351 0.6218 0.7133 1
Ge3 0.6649 0.3782 0.2867 1
Ge4 0.9086 0.6218 0.2867 1
Ir1 0.5000 0.5000 0.0000 1
```

Largest 10 diffraction maxima, low angle first, 10° ≤ 2θ ≤ 90°:
2theta  Rel. int.
27.6  100
34.9  27
36.4  18
36.7  20
39.0  26
39.9  27
40.7  28
51.9  18
56.1  14
57.0  17